This entry pairs a crystal structure of CeNbCr2O8 with its computed powder XRD pattern. Radiation: Cu Kα. Structure: the GGA+U geometry in Alexandria.

Atomic structure:
a b c (Å): 4.7514 4.7514 6.4969
angles (deg): 90.00 90.00 90.63
Fractional positions:
1 Ce 0.0000 0.0000 0.0000
2 Nb 0.0000 0.0000 0.5000
3 Cr 0.5000 0.5000 0.2572
4 Cr 0.5000 0.5000 0.7428
5 O 0.2027 0.2027 0.2772
6 O 0.2027 0.2027 0.7228
7 O 0.3087 0.6913 0.5000
8 O 0.3237 0.6763 0.0000
9 O 0.6763 0.3237 0.0000
10 O 0.6913 0.3087 0.5000
11 O 0.7973 0.7973 0.2772
12 O 0.7973 0.7973 0.7228

Top 6 peaks for 10° ≤ 2θ ≤ 90°, by angle:
- 2θ 18.7, I = 33
- 2θ 26.4, I = 72
- 2θ 26.7, I = 65
- 2θ 33.4, I = 100
- 2θ 51.2, I = 47
- 2θ 51.6, I = 42